# 1
Starting from a cell relaxed with GGA-PBE, the XRD peak list of HoCu6Au was simulated for Cu Kα.
Kinematic intensities with the Lorentz-polarization factor, no thermal factor.

Crystal structure
```
data_HoCu6Au
_cell_length_a 4.922
_cell_length_b 4.922
_cell_length_c 4.922
_cell_angle_alpha 90.00
_cell_angle_beta 90.00
_cell_angle_gamma 90.00
_space_group_name_H-M_alt 'P 1'
_space_group_IT_number 1
loop_
_space_group_symop_operation_xyz
'x,y,z'
loop_
_atom_site_label
_atom_site_fract_x
_atom_site_fract_y
_atom_site_fract_z
Ho1 0.000 0.000 0.000
Cu1 0.000 0.500 0.256
Cu2 0.000 0.500 0.744
Cu3 0.256 0.000 0.500
Cu4 0.500 0.256 0.000
Cu5 0.500 0.744 0.000
Cu6 0.744 0.000 0.500
Au1 0.500 0.500 0.500
```

Largest 10 diffraction maxima, by angle, 10° ≤ 2θ ≤ 90°:
2θ = 25.59°, I 44.0
2θ = 36.51°, I 45.6
2θ = 41.00°, I 41.0
2θ = 45.12°, I 100.0
2θ = 52.59°, I 6.7
2θ = 59.37°, I 9.6
2θ = 68.76°, I 7.7
2θ = 71.75°, I 49.4
2θ = 77.58°, I 11.4
2θ = 88.92°, I 14.5



# 2
Starting from a cell relaxed with GGA-PBE, the XRD peak list of CeTaSi2Mo was simulated for Cu Kα.
Kinematic intensities with the Lorentz-polarization factor, no thermal factor.

Crystal structure
```
data_CeTaSi2Mo
_cell_length_a 6.425
_cell_length_b 6.425
_cell_length_c 6.425
_cell_angle_alpha 143.59
_cell_angle_beta 143.59
_cell_angle_gamma 52.45
_space_group_name_H-M_alt 'P 1'
_space_group_IT_number 1
loop_
_space_group_symop_operation_xyz
'x,y,z'
loop_
_atom_site_label
_atom_site_fract_x
_atom_site_fract_y
_atom_site_fract_z
Ce1 0.000 0.000 0.000
Ta1 0.250 0.750 0.500
Si1 0.395 0.395 0.000
Si2 0.605 0.605 0.000
Mo1 0.750 0.250 0.500
```

Largest 10 diffraction maxima, by angle, 10° ≤ 2θ ≤ 90°:
2θ = 15.37°, I 15.0
2θ = 23.46°, I 22.3
2θ = 31.03°, I 25.3
2θ = 32.25°, I 22.3
2θ = 35.24°, I 100.0
2θ = 45.16°, I 29.9
2θ = 45.36°, I 11.9
2θ = 55.81°, I 19.3
2θ = 57.96°, I 18.2
2θ = 76.89°, I 20.7



# 3
Starting from a cell relaxed with GGA-PBE, the XRD peak list of Si2BrN was simulated for Cu Kα.
Kinematic intensities with the Lorentz-polarization factor, no thermal factor.

Crystal structure
```
data_Si2BrN
_cell_length_a 7.057
_cell_length_b 7.057
_cell_length_c 7.057
_cell_angle_alpha 140.92
_cell_angle_beta 140.92
_cell_angle_gamma 56.45
_space_group_name_H-M_alt 'P 1'
_space_group_IT_number 1
loop_
_space_group_symop_operation_xyz
'x,y,z'
loop_
_atom_site_label
_atom_site_fract_x
_atom_site_fract_y
_atom_site_fract_z
Si1 0.375 0.154 0.279
Si2 0.846 0.125 0.221
Si3 0.875 0.096 0.721
Si4 0.904 0.625 0.779
Br1 0.250 0.750 0.500
Br2 0.500 0.500 0.000
N1 0.000 0.000 0.000
N2 0.750 0.250 0.500
```

Largest 10 diffraction maxima, by angle, 10° ≤ 2θ ≤ 90°:
2θ = 28.67°, I 77.5
2θ = 30.40°, I 100.0
2θ = 38.13°, I 24.8
2θ = 40.90°, I 14.0
2θ = 41.02°, I 27.2
2θ = 43.49°, I 46.9
2θ = 48.42°, I 29.1
2θ = 51.94°, I 20.1
2θ = 63.24°, I 33.4
2θ = 64.17°, I 20.6



# 4
Starting from a cell relaxed with GGA-PBE, the XRD peak list of Sm4ZnRh2 was simulated for Cu Kα.
Kinematic intensities with the Lorentz-polarization factor, no thermal factor.

Crystal structure
```
data_Sm4ZnRh2
_cell_length_a 8.051
_cell_length_b 8.051
_cell_length_c 7.389
_cell_angle_alpha 108.88
_cell_angle_beta 108.88
_cell_angle_gamma 113.93
_space_group_name_H-M_alt 'P 1'
_space_group_IT_number 1
loop_
_space_group_symop_operation_xyz
'x,y,z'
loop_
_atom_site_label
_atom_site_fract_x
_atom_site_fract_y
_atom_site_fract_z
Sm1 0.014 0.986 0.500
Sm2 0.107 0.463 0.863
Sm3 0.371 0.898 0.768
Sm4 0.463 0.107 0.363
Sm5 0.484 0.628 0.405
Sm6 0.628 0.484 0.905
Sm7 0.898 0.371 0.268
Sm8 0.986 0.014 0.000
Zn1 0.602 0.852 0.135
Zn2 0.852 0.602 0.635
Rh1 0.111 0.729 0.247
Rh2 0.247 0.365 0.520
Rh3 0.365 0.247 0.020
Rh4 0.729 0.111 0.747
```

Largest 10 diffraction maxima, by angle, 10° ≤ 2θ ≤ 90°:
2θ = 28.53°, I 32.6
2θ = 30.45°, I 35.5
2θ = 31.76°, I 100.0
2θ = 32.19°, I 85.9
2θ = 32.92°, I 57.3
2θ = 35.60°, I 56.1
2θ = 38.83°, I 26.7
2θ = 38.95°, I 26.2
2θ = 52.03°, I 18.7
2θ = 53.66°, I 30.8



# 5
Starting from a cell relaxed with GGA-PBE, the XRD peak list of K4In5Bi6 was simulated for Cu Kα.
Kinematic intensities with the Lorentz-polarization factor, no thermal factor.

Crystal structure
```
data_K4In5Bi6
_cell_length_a 11.539
_cell_length_b 11.539
_cell_length_c 18.850
_cell_angle_alpha 90.00
_cell_angle_beta 90.00
_cell_angle_gamma 153.24
_space_group_name_H-M_alt 'P 1'
_space_group_IT_number 1
loop_
_space_group_symop_operation_xyz
'x,y,z'
loop_
_atom_site_label
_atom_site_fract_x
_atom_site_fract_y
_atom_site_fract_z
K1 0.009 0.991 0.500
K2 0.027 0.973 0.773
K3 0.169 0.831 0.310
K4 0.178 0.822 0.948
K5 0.822 0.178 0.448
K6 0.831 0.169 0.810
K7 0.973 0.027 0.273
K8 0.991 0.009 0.000
In1 0.140 0.860 0.630
In2 0.301 0.699 0.625
In3 0.353 0.647 0.269
In4 0.358 0.642 0.992
In5 0.432 0.568 0.692
In6 0.568 0.432 0.192
In7 0.642 0.358 0.492
In8 0.647 0.353 0.769
In9 0.699 0.301 0.125
In10 0.860 0.140 0.130
Bi1 0.120 0.880 0.127
Bi2 0.215 0.785 0.496
Bi3 0.221 0.779 0.759
Bi4 0.427 0.573 0.403
Bi5 0.433 0.567 0.134
Bi6 0.442 0.558 0.860
Bi7 0.558 0.442 0.360
Bi8 0.567 0.433 0.634
Bi9 0.573 0.427 0.903
Bi10 0.779 0.221 0.259
Bi11 0.785 0.215 0.996
Bi12 0.880 0.120 0.627
```

Largest 10 diffraction maxima, by angle, 10° ≤ 2θ ≤ 90°:
2θ = 17.07°, I 31.2
2θ = 20.44°, I 64.8
2θ = 20.97°, I 49.7
2θ = 21.23°, I 37.2
2θ = 29.63°, I 51.8
2θ = 33.57°, I 68.3
2θ = 37.89°, I 100.0
2θ = 39.36°, I 58.6
2θ = 39.89°, I 29.0
2θ = 62.89°, I 23.6



# 6
Starting from a cell relaxed with GGA-PBE, the XRD peak list of Pr6Er3Sc2 was simulated for Cu Kα.
Kinematic intensities with the Lorentz-polarization factor, no thermal factor.

Crystal structure
```
data_Pr6Er3Sc2
_cell_length_a 6.223
_cell_length_b 6.223
_cell_length_c 11.308
_cell_angle_alpha 95.26
_cell_angle_beta 95.26
_cell_angle_gamma 120.07
_space_group_name_H-M_alt 'P 1'
_space_group_IT_number 1
loop_
_space_group_symop_operation_xyz
'x,y,z'
loop_
_atom_site_label
_atom_site_fract_x
_atom_site_fract_y
_atom_site_fract_z
Pr1 0.079 0.410 0.237
Pr2 0.251 0.251 0.763
Pr3 0.410 0.079 0.237
Pr4 0.590 0.921 0.763
Pr5 0.749 0.749 0.237
Pr6 0.921 0.590 0.763
Er1 0.167 0.833 0.500
Er2 0.500 0.500 0.500
Er3 0.833 0.167 0.500
Sc1 0.333 0.667 0.000
Sc2 0.667 0.333 0.000
```

Largest 10 diffraction maxima, by angle, 10° ≤ 2θ ≤ 90°:
2θ = 24.02°, I 11.1
2θ = 28.83°, I 10.4
2θ = 30.68°, I 100.0
2θ = 31.74°, I 12.0
2θ = 32.21°, I 27.7
2θ = 36.03°, I 63.7
2θ = 50.85°, I 24.4
2θ = 52.88°, I 19.4
2θ = 60.56°, I 14.3
2θ = 61.48°, I 25.8